(1)
CuHgTe2: simulated X-ray powder pattern (copper Kα), based on a PBE-relaxed structure.
Neutral-atom scattering factors, no anomalous dispersion.

Structural model:
Unit cell a=4.6054 b=7.1751 c=7.7903 alpha=112.00 beta=90.72 gamma=94.04
Atoms (fractional coordinates):
Cu 0.0000 0.0000 0.0000
Cu 0.3361 0.7086 0.8932
Hg 0.5950 0.1934 0.5859
Hg 0.8517 0.6855 0.3866
Te 0.0703 0.0573 0.3491
Te 0.3522 0.5400 0.1348
Te 0.5158 0.1325 0.9301
Te 0.8206 0.6405 0.7285

Principal peaks in the range 2θ from 10° to 80°, by angle:
d/Å  intensity
3.926  34.9
3.832  88.7
3.801  100.0
3.564  34.5
3.315  98.9
3.206  69.7
2.593  33.2
2.312  45.5
2.247  44.0
2.224  97.8
2.133  43.2
2.116  38.5

=====

(2)
CuHg2Te: simulated X-ray powder pattern (copper Kα), based on a PBE-relaxed structure.
Neutral-atom scattering factors, no anomalous dispersion.

Structural model:
Unit cell a=5.7754 b=7.2921 c=4.6002 alpha=90.00 beta=90.00 gamma=90.00
Atoms (fractional coordinates):
Cu 0.0000 0.0000 0.0000
Cu 0.5000 0.5000 0.0000
Hg 0.0000 0.2079 0.5000
Hg 0.0000 0.7921 0.5000
Hg 0.5000 0.2921 0.5000
Hg 0.5000 0.7079 0.5000
Te 0.0000 0.5000 0.0000
Te 0.5000 0.0000 0.0000

Principal peaks in the range 2θ from 10° to 80°, by angle:
d/Å  intensity
4.600  22.4
3.227  23.8
2.888  62.4
2.857  100.0
2.300  33.3
2.240  20.3
2.031  75.9
1.799  31.6
1.605  14.7
1.414  16.3
1.289  17.3
1.270  16.5

=====

(3)
CuHgTe: simulated X-ray powder pattern (copper Kα), based on a PBE-relaxed structure.
Neutral-atom scattering factors, no anomalous dispersion.

Structural model:
Unit cell a=6.0761 b=6.0761 c=8.9569 alpha=90.00 beta=90.00 gamma=80.51
Atoms (fractional coordinates):
Cu 0.0609 0.9391 0.8752
Cu 0.4391 0.5609 0.3752
Cu 0.5609 0.4391 0.6248
Cu 0.9391 0.0609 0.1248
Hg 0.2323 0.2323 0.5000
Hg 0.2677 0.2677 0.0000
Hg 0.7323 0.7323 0.0000
Hg 0.7677 0.7677 0.5000
Te 0.2233 0.7767 0.6281
Te 0.2767 0.7233 0.1281
Te 0.7233 0.2767 0.8719
Te 0.7767 0.2233 0.3719

Principal peaks in the range 2θ from 10° to 80°, by angle:
d/Å  intensity
4.478  73.7
3.589  52.8
3.221  69.9
2.996  100.0
2.952  58.8
2.490  64.6
2.318  50.5
2.196  35.8
2.016  71.7
1.945  30.8
1.824  44.5
1.676  26.5

=====

(4)
CuHgTe2: simulated X-ray powder pattern (copper Kα), based on a PBE-relaxed structure.
Neutral-atom scattering factors, no anomalous dispersion.

Structural model:
Unit cell a=4.3851 b=6.2495 c=8.8870 alpha=90.00 beta=90.01 gamma=90.00
Atoms (fractional coordinates):
Cu 0.2504 0.0000 0.1135
Cu 0.7496 0.5000 0.8865
Hg 0.2510 0.0248 0.6401
Hg 0.7490 0.5248 0.3599
Te 0.2495 0.2274 0.3529
Te 0.2498 0.2859 0.9015
Te 0.7502 0.7859 0.0985
Te 0.7505 0.7274 0.6471

Principal peaks in the range 2θ from 10° to 80°, by angle:
d/Å  intensity
3.621  83.0
3.590  100.0
3.328  13.1
2.285  15.8
2.222  20.0
2.208  88.3
2.193  24.9
1.888  41.8
1.876  26.5
1.561  19.2
1.430  12.5
1.269  16.7

=====

(5)
Cu2HgTe: simulated X-ray powder pattern (copper Kα), based on a PBE-relaxed structure.
Neutral-atom scattering factors, no anomalous dispersion.

Structural model:
Unit cell a=4.3929 b=4.4921 c=4.3947 alpha=90.00 beta=103.74 gamma=90.00
Atoms (fractional coordinates):
Cu 0.0000 0.0000 0.0000
Cu 0.1764 0.5000 0.8198
Hg 0.4048 0.0000 0.5945
Te 0.7975 0.5000 0.2001

Principal peaks in the range 2θ from 10° to 80°, by angle:
d/Å  intensity
3.456  24.7
3.094  100.0
2.739  74.0
2.713  69.2
2.246  40.5
2.121  22.0
1.928  52.9
1.918  44.6
1.730  36.8
1.630  16.0
1.542  16.2
1.356  21.7

=====

(6)
TlCuHgTe2: simulated X-ray powder pattern (copper Kα), based on a PBE-relaxed structure.
Neutral-atom scattering factors, no anomalous dispersion.

Structural model:
Unit cell a=7.5578 b=7.5578 c=11.2452 alpha=123.15 beta=123.15 gamma=35.33
Atoms (fractional coordinates):
Tl 0.1504 0.1504 0.1349
Tl 0.8496 0.8496 0.8651
Cu 0.1617 0.1617 0.8118
Cu 0.8383 0.8383 0.1882
Hg 0.3929 0.3929 0.6005
Hg 0.6071 0.6071 0.3995
Te 0.1811 0.1811 0.5963
Te 0.3917 0.3917 0.1298
Te 0.6083 0.6083 0.8702
Te 0.8189 0.8189 0.4037

Principal peaks in the range 2θ from 10° to 80°, by angle:
d/Å  intensity
3.592  49.4
3.519  85.8
3.228  70.0
2.949  56.8
2.851  100.0
2.394  28.6
2.302  35.3
2.293  54.9
2.211  37.2
2.098  32.5
1.969  27.2
1.810  27.8